Calculated X-ray diffraction stick pattern
Compound: RbThWO6
Radiation: λ = 1.5418 Å (Cu Kα)
Structure: a crystal structure in Alexandria, relaxed with PBE+U
Neutral-atom scattering factors, no anomalous dispersion.

The 6 most intense peaks (2θ from 15° to 90°), in order of rising 2θ:
2θ/deg  I/Imax
25.9  100.0
26.5  42.9
26.8  85.8
27.1  68.1
28.2  95.7
46.0  53.5

Crystal structure
a = 7.7076 Å, b = 8.1902 Å, c = 11.0762 Å
α = 90.00°, β = 90.00°, γ = 90.00°
Space group Imma (No. 74)
One atom of each set of equivalent atoms:
Rb: 0.0000 0.2500 0.0773 (multiplicity 4)
Th: 0.0000 0.0000 0.5000 (multiplicity 4)
W: 0.2500 0.2500 0.7500 (multiplicity 4)
O: 0.0000 0.2500 0.4226 (multiplicity 4)
O: 0.0000 0.2500 0.7792 (multiplicity 4)
O: 0.2227 0.0837 0.6275 (multiplicity 16)